[1]
This entry pairs a crystal structure of TaAg2Hg with its computed powder diffractogram. Radiation: Cu Kα (weighted mean of Kα1 and Kα2). Structure: the PBE geometry in Alexandria.
Intensities are scaled so that the largest is 100.

Structural model:
a b c (Å): 2.953 2.953 8.543
angles (deg): 90.00 90.00 90.11
Positions (direct):
Ta1 0.000 0.000 0.000
Ag1 0.000 0.000 0.516
Ag2 0.500 0.500 0.759
Hg1 0.500 0.500 0.256

Principal peaks in the range 10 to 90 degrees two-theta, sorted by position:
Position (°2θ), intensity
10.35, 12
37.01, 100
42.32, 17
43.33, 32
62.17, 21
62.95, 10
73.89, 13
75.26, 12
75.38, 12
78.80, 11

=====

[2]
This entry pairs a crystal structure of Ba6HS5 with its computed powder diffractogram. Radiation: Cu Kα (weighted mean of Kα1 and Kα2). Structure: the PBE geometry in Alexandria.
Intensities are scaled so that the largest is 100.

Structural model:
a b c (Å): 7.819 7.819 7.824
angles (deg): 99.59 99.59 120.01
Positions (direct):
Ba1 0.078 0.416 0.748
Ba2 0.247 0.247 0.253
Ba3 0.416 0.078 0.748
Ba4 0.584 0.922 0.252
Ba5 0.753 0.753 0.747
Ba6 0.922 0.584 0.252
H1 0.500 0.500 0.000
S1 0.000 0.000 0.500
S2 0.167 0.833 0.000
S3 0.333 0.667 0.500
S4 0.667 0.333 0.500
S5 0.833 0.167 0.000

Principal peaks in the range 10 to 90 degrees two-theta, sorted by position:
Position (°2θ), intensity
24.14, 78
27.95, 100
39.94, 74
47.21, 37
49.45, 26
57.76, 12
63.51, 17
65.36, 34
72.53, 25
77.71, 13

=====

[3]
This entry pairs a crystal structure of CsB6N6 with its computed powder diffractogram. Radiation: Cu Kα (weighted mean of Kα1 and Kα2). Structure: the PBE geometry in Alexandria.
Intensities are scaled so that the largest is 100.

Structural model:
a b c (Å): 4.777 4.777 4.777
angles (deg): 90.00 90.00 90.00
Positions (direct):
Cs1 0.000 0.000 0.000
B1 0.000 0.277 0.500
B2 0.000 0.723 0.500
B3 0.277 0.500 0.000
B4 0.500 0.000 0.277
B5 0.500 0.000 0.723
B6 0.723 0.500 0.000
N1 0.000 0.500 0.259
N2 0.000 0.500 0.741
N3 0.259 0.000 0.500
N4 0.500 0.259 0.000
N5 0.500 0.741 0.000
N6 0.741 0.000 0.500

Principal peaks in the range 10 to 90 degrees two-theta, sorted by position:
Position (°2θ), intensity
18.58, 100
26.39, 37
32.47, 44
37.66, 32
42.31, 49
46.57, 64
57.92, 25
64.73, 14
74.30, 30
83.43, 15

=====

[4]
This entry pairs a crystal structure of Zn2NiPt5 with its computed powder diffractogram. Radiation: Cu Kα (weighted mean of Kα1 and Kα2). Structure: the PBE geometry in Alexandria.
Intensities are scaled so that the largest is 100.

Structural model:
a b c (Å): 5.471 10.879 3.931
angles (deg): 90.00 90.00 90.00
Positions (direct):
Zn1 0.233 0.127 0.000
Zn2 0.267 0.627 0.000
Zn3 0.733 0.373 0.000
Zn4 0.767 0.873 0.000
Ni1 0.000 0.500 0.500
Ni2 0.500 0.000 0.500
Pt1 0.000 0.000 0.500
Pt2 0.025 0.745 0.500
Pt3 0.227 0.382 0.000
Pt4 0.273 0.882 0.000
Pt5 0.475 0.245 0.500
Pt6 0.500 0.500 0.500
Pt7 0.525 0.755 0.500
Pt8 0.727 0.118 0.000
Pt9 0.773 0.618 0.000
Pt10 0.975 0.255 0.500

Principal peaks in the range 10 to 90 degrees two-theta, sorted by position:
Position (°2θ), intensity
23.06, 17
32.52, 15
40.16, 96
40.33, 100
46.18, 35
47.12, 60
68.11, 40
81.43, 13
82.71, 19
83.03, 22

=====

[5]
This entry pairs a crystal structure of Zr2Al5Au3 with its computed powder diffractogram. Radiation: Cu Kα (weighted mean of Kα1 and Kα2). Structure: the PBE geometry in Alexandria.
Intensities are scaled so that the largest is 100.

Structural model:
a b c (Å): 12.515 12.515 6.788
angles (deg): 90.00 90.00 160.29
Positions (direct):
Zr1 0.017 0.983 0.500
Zr2 0.325 0.675 0.503
Zr3 0.675 0.325 0.003
Zr4 0.983 0.017 0.000
Al1 0.104 0.896 0.845
Al2 0.208 0.792 0.308
Al3 0.210 0.790 0.727
Al4 0.382 0.618 0.999
Al5 0.450 0.550 0.680
Al6 0.550 0.450 0.180
Al7 0.618 0.382 0.499
Al8 0.790 0.210 0.227
Al9 0.792 0.208 0.808
Al10 0.896 0.104 0.345
Au1 0.107 0.893 0.240
Au2 0.277 0.723 0.021
Au3 0.449 0.551 0.294
Au4 0.551 0.449 0.794
Au5 0.723 0.277 0.521
Au6 0.893 0.107 0.740

Principal peaks in the range 10 to 90 degrees two-theta, sorted by position:
Position (°2θ), intensity
24.84, 28
25.33, 36
26.89, 55
27.25, 25
27.58, 18
30.06, 16
35.49, 100
42.19, 33
46.73, 17
47.65, 32

=====

[6]
This entry pairs a crystal structure of RbErPb2 with its computed powder diffractogram. Radiation: Cu Kα (weighted mean of Kα1 and Kα2). Structure: the PBE geometry in Alexandria.
Intensities are scaled so that the largest is 100.

Structural model:
a b c (Å): 4.107 4.107 8.385
angles (deg): 90.00 90.00 90.00
Positions (direct):
Rb1 0.000 0.000 0.000
Er1 0.000 0.000 0.500
Pb1 0.500 0.500 0.312
Pb2 0.500 0.500 0.688

Principal peaks in the range 10 to 90 degrees two-theta, sorted by position:
Position (°2θ), intensity
10.55, 52
30.47, 100
30.78, 72
32.63, 16
38.98, 37
44.09, 27
54.54, 40
60.29, 21
64.13, 18
72.81, 19

=====

[7]
This entry pairs a crystal structure of Rb2ErCuCl6 with its computed powder diffractogram. Radiation: Cu Kα (weighted mean of Kα1 and Kα2). Structure: the PBE geometry in Alexandria.
Intensities are scaled so that the largest is 100.

Structural model:
a b c (Å): 7.138 7.346 7.374
angles (deg): 115.06 114.22 98.57
Positions (direct):
Rb1 0.243 0.244 0.486
Rb2 0.757 0.756 0.514
Er1 0.000 0.500 0.000
Cu1 0.500 0.000 0.000
Cl1 0.224 0.830 0.006
Cl2 0.228 0.725 0.460
Cl3 0.285 0.319 0.999
Cl4 0.715 0.681 0.001
Cl5 0.772 0.275 0.540
Cl6 0.776 0.170 0.994

Principal peaks in the range 10 to 90 degrees two-theta, sorted by position:
Position (°2θ), intensity
14.78, 21
22.55, 69
24.52, 100
25.23, 31
31.55, 55
32.64, 42
38.11, 26
40.80, 37
41.71, 20
50.23, 21

=====

[8]
This entry pairs a crystal structure of LiPr4Ge4 with its computed powder diffractogram. Radiation: Cu Kα (weighted mean of Kα1 and Kα2). Structure: the PBE geometry in Alexandria.
Intensities are scaled so that the largest is 100.

Structural model:
a b c (Å): 7.502 15.342 8.068
angles (deg): 90.00 90.00 90.00
Positions (direct):
Li1 0.159 0.250 0.032
Li2 0.341 0.750 0.532
Li3 0.659 0.250 0.468
Li4 0.841 0.750 0.968
Pr1 0.026 0.601 0.690
Pr2 0.026 0.899 0.690
Pr3 0.176 0.628 0.179
Pr4 0.176 0.872 0.179
Pr5 0.324 0.128 0.679
Pr6 0.324 0.372 0.679
Pr7 0.474 0.101 0.190
Pr8 0.474 0.399 0.190
Pr9 0.526 0.601 0.810
Pr10 0.526 0.899 0.810
Pr11 0.676 0.628 0.321
Pr12 0.676 0.872 0.321
Pr13 0.824 0.128 0.821
Pr14 0.824 0.372 0.821
Pr15 0.974 0.101 0.310
Pr16 0.974 0.399 0.310
Ge1 0.014 0.250 0.579
Ge2 0.157 0.037 0.969
Ge3 0.157 0.463 0.969
Ge4 0.230 0.750 0.868
Ge5 0.270 0.250 0.368
Ge6 0.343 0.537 0.469
Ge7 0.343 0.963 0.469
Ge8 0.486 0.750 0.079
Ge9 0.514 0.250 0.921
Ge10 0.657 0.037 0.531
Ge11 0.657 0.463 0.531
Ge12 0.730 0.750 0.632
Ge13 0.770 0.250 0.132
Ge14 0.843 0.537 0.031
Ge15 0.843 0.963 0.031
Ge16 0.986 0.750 0.421

Principal peaks in the range 10 to 90 degrees two-theta, sorted by position:
Position (°2θ), intensity
17.14, 20
23.19, 21
26.85, 24
30.64, 67
31.59, 100
32.20, 56
34.41, 43
35.95, 21
37.66, 33
55.61, 29

=====

[9]
This entry pairs a crystal structure of KSrI3 with its computed powder diffractogram. Radiation: Cu Kα (weighted mean of Kα1 and Kα2). Structure: the PBE geometry in Alexandria.
Intensities are scaled so that the largest is 100.

Structural model:
a b c (Å): 9.475 4.914 18.934
angles (deg): 90.00 90.00 90.00
Positions (direct):
K1 0.111 0.250 0.210
K2 0.389 0.750 0.710
K3 0.611 0.250 0.290
K4 0.889 0.750 0.790
Sr1 0.226 0.750 0.458
Sr2 0.274 0.250 0.958
Sr3 0.726 0.750 0.042
Sr4 0.774 0.250 0.542
I1 0.010 0.250 0.404
I2 0.137 0.750 0.055
I3 0.172 0.250 0.792
I4 0.328 0.750 0.292
I5 0.363 0.250 0.555
I6 0.490 0.750 0.904
I7 0.510 0.250 0.096
I8 0.637 0.750 0.445
I9 0.672 0.250 0.708
I10 0.828 0.750 0.208
I11 0.863 0.250 0.945
I12 0.990 0.750 0.596

Principal peaks in the range 10 to 90 degrees two-theta, sorted by position:
Position (°2θ), intensity
22.44, 72
23.48, 35
25.33, 33
26.58, 68
27.80, 100
28.65, 26
29.79, 57
31.28, 31
36.57, 42
37.98, 34

=====

[10]
This entry pairs a crystal structure of PrNdErSc with its computed powder diffractogram. Radiation: Cu Kα (weighted mean of Kα1 and Kα2). Structure: the PBE geometry in Alexandria.
Intensities are scaled so that the largest is 100.

Structural model:
a b c (Å): 6.753 6.753 3.816
angles (deg): 106.30 106.30 50.11
Positions (direct):
Pr1 0.000 0.000 0.000
Nd1 0.275 0.275 0.789
Er1 0.539 0.539 0.542
Sc1 0.765 0.765 0.272

Principal peaks in the range 10 to 90 degrees two-theta, sorted by position:
Position (°2θ), intensity
27.80, 13
30.74, 25
31.28, 28
32.13, 100
44.43, 18
47.67, 9
55.54, 15
56.21, 20
57.75, 8
58.13, 9

=====

[11]
This entry pairs a crystal structure of CoCu3As with its computed powder diffractogram. Radiation: Cu Kα (weighted mean of Kα1 and Kα2). Structure: the PBE geometry in Alexandria.
Intensities are scaled so that the largest is 100.

Structural model:
a b c (Å): 4.437 4.437 4.437
angles (deg): 90.00 90.00 90.00
Positions (direct):
Co1 0.000 0.000 0.000
Cu1 0.000 0.500 0.500
Cu2 0.500 0.000 0.500
Cu3 0.500 0.500 0.000
As1 0.500 0.500 0.500

Principal peaks in the range 10 to 90 degrees two-theta, sorted by position:
Position (°2θ), intensity
20.01, 37
28.45, 22
35.03, 63
40.67, 100
45.72, 17
50.37, 9
58.86, 63
70.37, 20
74.00, 20
88.05, 10